Computed X-ray powder pattern of NiTeO2 for a wavelength of 1.5418 Å, from a crystal structure in Alexandria, relaxed with PBE+U.
No peak broadening, texture or thermal motion is included.

Main lines, most intense first (15 to 90 degrees two-theta):
- d 3.016, intensity 1000
- d 3.627, intensity 883
- d 2.533, intensity 672
- d 2.580, intensity 560
- d 3.153, intensity 498
- d 1.895, intensity 453

```
data_NiTeO2
_chemical_formula_sum 'Ni2 Te2 O4'
_symmetry_space_group_name_H-M 'P 1'
_symmetry_Int_Tables_number 1
_symmetry_space_group_name_Hall 'P 1'
_cell_length_a 4.8002
_cell_length_b 5.2594
_cell_length_c 5.7172
_cell_angle_alpha 70.37
_cell_angle_beta 84.14
_cell_angle_gamma 81.93
loop_
_atom_site_label
_atom_site_type_symbol
_atom_site_fract_x
_atom_site_fract_y
_atom_site_fract_z
Ni1 Ni 0.0000 0.0000 0.0000
Ni2 Ni 0.1005 0.7303 0.5451
Te1 Te 0.3121 0.4106 0.0947
Te2 Te 0.6487 0.0551 0.6489
O1 O 0.0164 0.6047 0.2479
O2 O 0.0761 0.3943 0.8426
O3 O 0.2078 0.0447 0.2587
O4 O 0.3208 0.8332 0.7895
```